Starting from a DFT-relaxed cell (PBE, Alexandria), the X-ray powder pattern of NaDyPbF6 was calculated for copper Kα.
Neutral-atom scattering factors, no anomalous dispersion.

Crystal structure
Unit cell a=5.3982 b=5.3982 c=11.0651 alpha=90.00 beta=90.00 gamma=90.00
Space group P4_2nm (No. 102)
Asymmetric unit:
Na  0.0000  0.0000  0.0000
Dy  0.0000  0.0000  0.6645
Pb  0.0000  0.0000  0.3308
F  0.1807  0.1807  0.8201
F  0.1933  0.1933  0.5183
F  0.2107  0.2107  0.1634

Most intense lines, 2θ from 10° to 80°, in order of falling intensity:
23.3°, I = 100
29.3°, I = 84
44.9°, I = 76
18.3°, I = 55
56.9°, I = 24
33.2°, I = 22
28.4°, I = 20
16.0°, I = 20
55.3°, I = 19
47.6°, I = 19
38.2°, I = 18
53.7°, I = 17

---

Starting from a DFT-relaxed cell (PBE, Alexandria), the X-ray powder pattern of NdDy2F11 was calculated for copper Kα.
Neutral-atom scattering factors, no anomalous dispersion.

Crystal structure
Unit cell a=8.4211 b=10.3216 c=11.5119 alpha=90.00 beta=90.00 gamma=90.00
Space group Ibam (No. 72)
Asymmetric unit:
Nd  0.0000  0.0000  0.2500
Dy  0.1572  0.3113  0.0000
F  0.0000  0.5000  0.0000
F  0.1052  0.1738  0.1401
F  0.1097  0.3043  0.5000
F  0.2109  0.0778  0.3689

Most intense lines, 2θ from 10° to 80°, in order of falling intensity:
20.6°, I = 100
23.1°, I = 87
24.1°, I = 78
44.5°, I = 55
21.6°, I = 50
15.4°, I = 36
64.8°, I = 34
42.3°, I = 33
43.6°, I = 28
26.2°, I = 25
28.0°, I = 23
48.1°, I = 22

---

Starting from a DFT-relaxed cell (PBE, Alexandria), the X-ray powder pattern of DyNp2F11 was calculated for copper Kα.
Neutral-atom scattering factors, no anomalous dispersion.

Crystal structure
Unit cell a=8.4256 b=10.3119 c=11.0084 alpha=90.00 beta=90.00 gamma=90.00
Space group Ibam (No. 72)
Asymmetric unit:
Dy  0.0000  0.0000  0.2500
Np  0.1530  0.3183  0.0000
F  0.0000  0.5000  0.0000
F  0.0899  0.1761  0.1423
F  0.1269  0.2865  0.5000
F  0.2149  0.0695  0.3627

Most intense lines, 2θ from 10° to 80°, in order of falling intensity:
24.2°, I = 100
21.1°, I = 89
23.6°, I = 81
21.8°, I = 74
44.8°, I = 53
16.1°, I = 48
44.3°, I = 32
43.5°, I = 32
33.5°, I = 28
28.0°, I = 28
32.5°, I = 26
46.1°, I = 26

---

Starting from a DFT-relaxed cell (PBE, Alexandria), the X-ray powder pattern of Dy2NpF11 was calculated for copper Kα.
Neutral-atom scattering factors, no anomalous dispersion.

Crystal structure
Unit cell a=8.0724 b=10.3259 c=11.0776 alpha=90.00 beta=90.00 gamma=90.00
Space group Ibam (No. 72)
Asymmetric unit:
Dy  0.1348  0.1818  0.0000
Np  0.0000  0.5000  0.2500
F  0.0000  0.0000  0.0000
F  0.0967  0.3280  0.1514
F  0.1273  0.2255  0.5000
F  0.2071  0.4358  0.3620

Most intense lines, 2θ from 10° to 80°, in order of falling intensity:
21.3°, I = 100
23.6°, I = 63
43.4°, I = 41
25.0°, I = 41
48.4°, I = 32
22.0°, I = 31
13.9°, I = 29
45.8°, I = 29
48.0°, I = 27
28.2°, I = 26
32.3°, I = 15
27.3°, I = 13

---

Starting from a DFT-relaxed cell (PBE, Alexandria), the X-ray powder pattern of Dy3NpO6F2 was calculated for copper Kα.
Neutral-atom scattering factors, no anomalous dispersion.

Crystal structure
Unit cell a=11.8366 b=6.7230 c=4.7138 alpha=90.00 beta=92.97 gamma=90.00
Space group C2/m (No. 12)
Asymmetric unit:
Dy  0.0000  0.0000  0.0000
Dy  0.2500  0.2500  0.5000
Np  0.0000  0.5000  0.5000
O  0.0776  0.2532  0.2732
O  0.1650  0.5000  0.7041
F  0.1699  0.0000  0.7601

Most intense lines, 2θ from 10° to 80°, in order of falling intensity:
30.6°, I = 100
24.6°, I = 71
24.0°, I = 70
18.9°, I = 68
30.2°, I = 54
49.1°, I = 43
35.8°, I = 41
50.4°, I = 35
53.9°, I = 35
31.8°, I = 33
33.2°, I = 29
38.2°, I = 23

---

Starting from a DFT-relaxed cell (PBE, Alexandria), the X-ray powder pattern of Dy3Se4O12F was calculated for copper Kα.
Neutral-atom scattering factors, no anomalous dispersion.

Crystal structure
Unit cell a=10.4778 b=10.4778 c=6.8809 alpha=90.00 beta=90.00 gamma=120.00
Space group P6_3mc (No. 186)
Asymmetric unit:
Dy  0.0760  0.5380  0.0000
Se  0.1555  0.3110  0.7683
Se  0.3333  0.6667  0.4332
O  0.0807  0.4170  0.6971
O  0.1618  0.5809  0.3204
O  0.1835  0.3670  0.0076
F  0.3333  0.6667  0.9533

Most intense lines, 2θ from 10° to 80°, in order of falling intensity:
23.5°, I = 100
29.1°, I = 97
32.7°, I = 92
34.2°, I = 65
32.3°, I = 64
47.7°, I = 59
45.5°, I = 51
27.7°, I = 45
19.6°, I = 43
51.3°, I = 39
16.2°, I = 36
25.9°, I = 32

---

Starting from a DFT-relaxed cell (PBE, Alexandria), the X-ray powder pattern of DyTaO4F was calculated for copper Kα.
Neutral-atom scattering factors, no anomalous dispersion.

Crystal structure
Unit cell a=9.6590 b=7.2632 c=6.8542 alpha=90.00 beta=102.25 gamma=90.00
Space group C2/m (No. 12)
Asymmetric unit:
Dy  0.1943  0.0000  0.0785
Ta  0.1302  0.5000  0.2912
O  0.0680  0.5000  0.7602
O  0.1946  0.3100  0.1542
O  0.2051  0.5000  0.5681
F  0.0108  0.0000  0.8167

Most intense lines, 2θ from 10° to 80°, in order of falling intensity:
24.5°, I = 100
29.1°, I = 87
25.3°, I = 68
31.3°, I = 66
21.6°, I = 39
35.5°, I = 39
13.2°, I = 37
45.4°, I = 33
46.1°, I = 31
18.8°, I = 29
47.6°, I = 26
15.4°, I = 23

---

Starting from a DFT-relaxed cell (PBE, Alexandria), the X-ray powder pattern of DyPb3F8 was calculated for copper Kα.
Neutral-atom scattering factors, no anomalous dispersion.

Crystal structure
Unit cell a=5.9238 b=5.9238 c=5.9238 alpha=90.00 beta=90.00 gamma=90.00
Space group Pm-3m (No. 221)
Asymmetric unit:
Dy  0.0000  0.0000  0.0000
Pb  0.0000  0.5000  0.5000
F  0.2243  0.2243  0.2243

Most intense lines, 2θ from 10° to 80°, in order of falling intensity:
26.1°, I = 100
43.2°, I = 55
51.1°, I = 49
30.2°, I = 33
69.1°, I = 21
79.2°, I = 17
71.2°, I = 15
53.6°, I = 10
62.7°, I = 9
33.8°, I = 1
21.2°, I = 1

---

Starting from a DFT-relaxed cell (PBE, Alexandria), the X-ray powder pattern of DyPbF5 was calculated for copper Kα.
Neutral-atom scattering factors, no anomalous dispersion.

Crystal structure
Unit cell a=4.3410 b=16.0247 c=5.8594 alpha=90.00 beta=93.43 gamma=90.00
Space group C2/c (No. 15)
Asymmetric unit:
Dy  0.0000  0.0743  0.2500
Pb  0.0000  0.3231  0.2500
F  0.0000  0.3806  0.7500
F  0.0095  0.1886  0.0071
F  0.2280  0.0380  0.5989

Most intense lines, 2θ from 10° to 80°, in order of falling intensity:
27.0°, I = 100
25.5°, I = 42
26.5°, I = 27
30.6°, I = 24
41.9°, I = 17
49.5°, I = 17
52.2°, I = 15
41.7°, I = 14
34.8°, I = 14
51.2°, I = 14
47.9°, I = 13
39.9°, I = 13

---

Starting from a DFT-relaxed cell (PBE, Alexandria), the X-ray powder pattern of RbDyPbF6 was calculated for copper Kα.
Neutral-atom scattering factors, no anomalous dispersion.

Crystal structure
Unit cell a=8.0122 b=8.1851 c=11.4054 alpha=90.00 beta=90.00 gamma=90.00
Space group Imma (No. 74)
Asymmetric unit:
Rb  0.0000  0.2500  0.1439
Dy  0.0000  0.0000  0.5000
Pb  0.2500  0.2500  0.7500
F  0.0000  0.2500  0.5688
F  0.0000  0.2500  0.8672
F  0.1913  0.0265  0.3669

Most intense lines, 2θ from 10° to 80°, in order of falling intensity:
26.0°, I = 100
26.8°, I = 71
44.9°, I = 71
27.2°, I = 67
25.7°, I = 63
13.3°, I = 58
13.5°, I = 46
53.4°, I = 36
40.8°, I = 32
41.1°, I = 30
25.8°, I = 27
52.7°, I = 25